# Hf3Ni2As4Pd2
Theoretical X-ray diffraction stick pattern, Cu Kα (weighted mean of Kα1 and Kα2). Input: the PBE geometry in OQMD.
Peak positions follow from Bragg's law for the DFT cell and can differ from measured ones.

Atomic structure:
```
data_Hf3Ni2As4Pd2
_chemical_formula_sum 'Hf3 Ni2 As4 Pd2'
_cell_length_a 6.4655
_cell_length_b 3.8530
_cell_length_c 7.5524
_cell_angle_alpha 90.00
_cell_angle_beta 91.41
_cell_angle_gamma 90.00
_symmetry_space_group_name_H-M 'P 1 m 1'
_symmetry_Int_Tables_number 6
_symmetry_space_group_name_Hall 'P -2y'
loop_
_atom_site_label
_atom_site_type_symbol
_atom_site_fract_x
_atom_site_fract_y
_atom_site_fract_z
Hf1 Hf 0.0000 0.0000 0.0000
Hf2 Hf 0.0651 0.5000 0.3692
Hf3 Hf 0.5011 0.0000 0.8664
Ni1 Ni 0.3902 0.0000 0.2364
Ni2 Ni 0.6813 0.5000 0.1234
As1 As 0.3007 0.5000 0.0716
As2 As 0.3253 0.0000 0.5427
As3 As 0.7650 0.0000 0.2969
As4 As 0.7749 0.5000 0.8119
Pd1 Pd 0.1829 0.5000 0.7439
Pd2 Pd 0.9006 0.0000 0.6131
```

Principal peaks in the range 10° ≤ 2θ ≤ 80°, low angle first:
2θ = 13.70°, 6.463 Å, I = 25, hkl 1 0 0
2θ = 35.86°, 2.504 Å, I = 33, hkl 1 1 -2
2θ = 36.30°, 2.475 Å, I = 91, hkl 2 1 0
2θ = 37.06°, 2.426 Å, I = 23, hkl 2 0 2
2θ = 38.04°, 2.366 Å, I = 100, hkl 2 1 -1
2θ = 38.48°, 2.340 Å, I = 39, hkl 2 1 1
2θ = 42.92°, 2.107 Å, I = 44, hkl 0 1 3
2θ = 47.18°, 1.926 Å, I = 44, hkl 0 2 0